(1)
The following is a calculated PXRD pattern of ErMgSc. It was derived from a structure optimized by DFT (GGA-PBE), using a wavelength of 1.5418 Å.
Lines closer than 0.1° are merged.

Structural model:
```
ErMgSc
1.0
3.3511 0.0000 0.0000
0.0000 3.3511 0.0000
0.0000 0.0000 13.9003
Er Mg Sc
2 2 2
Direct
0.2500 0.2500 0.2469
0.7500 0.7500 0.7531
0.2500 0.2500 0.9256
0.7500 0.7500 0.0744
0.2500 0.2500 0.5808
0.7500 0.7500 0.4192
```

Principal peaks in the range 2θ from 5° to 70°, in order of rising 2θ:
2θ 12.7, rel. 64.9
2θ 25.6, rel. 16.0
2θ 27.4, rel. 50.1
2θ 33.0, rel. 100.0
2θ 38.0, rel. 34.1
2θ 38.9, rel. 15.6
2θ 40.2, rel. 16.9
2θ 55.5, rel. 21.8
2θ 65.5, rel. 26.6
2θ 66.7, rel. 15.3



(2)
The following is a calculated PXRD pattern of Er2Mg3Sc3. It was derived from a structure optimized by DFT (GGA-PBE), using a wavelength of 1.5418 Å.
Lines closer than 0.1° are merged.

Structural model:
```
Er2Mg3Sc3
1.0
2.6074 1.5054 8.5711
-2.6074 1.5054 8.5711
0.0000 -3.0107 8.5711
Er Mg Sc
2 3 3
Direct
0.0000 0.0000 0.0000
0.4995 0.4995 0.4995
0.1242 0.1242 0.1242
0.3723 0.3723 0.3723
0.8765 0.8765 0.8765
0.2467 0.2467 0.2467
0.6249 0.6249 0.6249
0.7510 0.7510 0.7510
```

Principal peaks in the range 2θ from 5° to 70°, in order of rising 2θ:
2θ 20.7, rel. 22.6
2θ 20.8, rel. 66.7
2θ 24.1, rel. 74.1
2θ 34.2, rel. 100.0
2θ 34.4, rel. 99.1
2θ 40.5, rel. 38.3
2θ 42.4, rel. 16.7
2θ 49.3, rel. 34.8
2θ 61.2, rel. 17.7
2θ 61.5, rel. 52.8



(3)
The following is a calculated PXRD pattern of ErMg15Sc4. It was derived from a structure optimized by DFT (GGA-PBE), using a wavelength of 1.5418 Å.
Lines closer than 0.1° are merged.

Structural model:
```
ErMg15Sc4
1.0
4.5773 0.0000 0.0000
0.0000 4.5773 0.0000
0.0000 0.0000 22.2646
Er Mg Sc
1 15 4
Direct
0.0000 0.0000 0.0000
0.0000 0.5000 0.1050
0.0000 0.5000 0.3030
0.0000 0.5000 0.5000
0.0000 0.5000 0.6970
0.0000 0.5000 0.8950
0.5000 0.0000 0.1050
0.5000 0.0000 0.3030
0.5000 0.0000 0.5000
0.5000 0.0000 0.6970
0.5000 0.0000 0.8950
0.5000 0.5000 0.0000
0.5000 0.5000 0.2044
0.5000 0.5000 0.4017
0.5000 0.5000 0.5983
0.5000 0.5000 0.7956
0.0000 0.0000 0.2044
0.0000 0.0000 0.4018
0.0000 0.0000 0.5982
0.0000 0.0000 0.7956
```

Principal peaks in the range 2θ from 5° to 70°, in order of rising 2θ:
2θ 7.9, rel. 15.6
2θ 19.4, rel. 18.2
2θ 27.9, rel. 19.0
2θ 34.3, rel. 100.0
2θ 39.4, rel. 33.0
2θ 40.5, rel. 14.6
2θ 56.9, rel. 10.7
2θ 57.8, rel. 19.7
2θ 68.1, rel. 24.3
2θ 69.7, rel. 10.7



(4)
The following is a calculated PXRD pattern of Er4MgSe5. It was derived from a structure optimized by DFT (GGA-PBE), using a wavelength of 1.5418 Å.
Lines closer than 0.1° are merged.

Structural model:
```
Er4MgSe5
1.0
1.9944 1.1515 16.6725
-1.9944 1.1515 16.6725
0.0000 -2.3030 16.6725
Er Mg Se
4 1 5
Direct
0.0984 0.0984 0.0984
0.2983 0.2983 0.2983
0.7017 0.7017 0.7017
0.9016 0.9016 0.9016
0.5000 0.5000 0.5000
0.0000 0.0000 0.0000
0.1980 0.1980 0.1980
0.4003 0.4003 0.4003
0.5997 0.5997 0.5997
0.8020 0.8020 0.8020
```

Principal peaks in the range 2θ from 5° to 70°, in order of rising 2θ:
2θ 5.3, rel. 27.0
2θ 10.6, rel. 8.9
2θ 26.7, rel. 5.4
2θ 27.3, rel. 9.9
2θ 31.5, rel. 100.0
2θ 44.7, rel. 36.8
2θ 45.5, rel. 36.3
2θ 55.1, rel. 6.8
2θ 56.4, rel. 19.0
2θ 65.7, rel. 11.6



(5)
The following is a calculated PXRD pattern of ErMgSe3. It was derived from a structure optimized by DFT (GGA-PBE), using a wavelength of 1.5418 Å.
Lines closer than 0.1° are merged.

Structural model:
```
ErMgSe3
1.0
3.5147 2.0292 6.1486
-3.5147 2.0292 6.1486
0.0000 -4.0585 6.1486
Er Mg Se
2 2 6
Direct
0.1550 0.1550 0.1550
0.8450 0.8450 0.8450
0.3470 0.3470 0.3470
0.6530 0.6530 0.6530
0.0644 0.7405 0.4380
0.2595 0.5620 0.9356
0.4380 0.0644 0.7405
0.5620 0.9356 0.2595
0.7405 0.4380 0.0644
0.9356 0.2595 0.5620
```

Principal peaks in the range 2θ from 5° to 70°, in order of rising 2θ:
2θ 14.4, rel. 22.0
2θ 15.3, rel. 19.4
2θ 17.5, rel. 22.1
2θ 24.2, rel. 19.5
2θ 29.3, rel. 100.0
2θ 38.9, rel. 63.1
2θ 44.7, rel. 44.3
2θ 51.6, rel. 16.5
2θ 54.3, rel. 16.2
2θ 60.7, rel. 16.4



(6)
The following is a calculated PXRD pattern of Sm4Er4Mg. It was derived from a structure optimized by DFT (GGA-PBE), using a wavelength of 1.5418 Å.
Lines closer than 0.1° are merged.

Structural model:
```
Sm4Er4Mg
1.0
6.1467 0.0000 0.0000
3.0431 8.8724 0.0000
0.0823 2.1788 10.3408
Sm Er Mg
8 8 2
Direct
0.0843 0.1676 0.4711
0.2520 0.5001 0.4182
0.4110 0.8381 0.0283
0.4128 0.8319 0.6968
0.5872 0.1681 0.3032
0.5890 0.1619 0.9717
0.7480 0.4999 0.5818
0.9157 0.8324 0.5289
0.0829 0.1647 0.8058
0.0860 0.1683 0.1354
0.2453 0.4975 0.7584
0.4188 0.8341 0.3581
0.5812 0.1659 0.6419
0.7547 0.5025 0.2416
0.9140 0.8317 0.8646
0.9171 0.8353 0.1942
0.2503 0.5029 0.0820
0.7497 0.4971 0.9180
```

Principal peaks in the range 2θ from 5° to 70°, in order of rising 2θ:
2θ 30.9, rel. 51.1
2θ 30.9, rel. 100.0
2θ 31.0, rel. 49.5
2θ 35.7, rel. 68.3
2θ 36.2, rel. 32.7
2θ 51.4, rel. 24.4
2θ 51.7, rel. 23.9
2θ 61.2, rel. 36.1
2θ 61.3, rel. 14.3
2θ 61.8, rel. 13.8



(7)
The following is a calculated PXRD pattern of Sm4Er2Mg. It was derived from a structure optimized by DFT (GGA-PBE), using a wavelength of 1.5418 Å.
Lines closer than 0.1° are merged.

Structural model:
```
Sm4Er2Mg
1.0
2.8095 1.6221 8.0642
-2.8095 1.6221 8.0642
0.0000 -3.2441 8.0642
Sm Er Mg
4 2 1
Direct
0.0677 0.0677 0.0677
0.2119 0.2119 0.2119
0.7881 0.7881 0.7881
0.9323 0.9323 0.9323
0.3585 0.3585 0.3585
0.6415 0.6415 0.6415
0.5000 0.5000 0.5000
```

Principal peaks in the range 2θ from 5° to 70°, in order of rising 2θ:
2θ 11.0, rel. 5.3
2θ 18.6, rel. 2.5
2θ 23.5, rel. 2.4
2θ 26.0, rel. 3.1
2θ 31.8, rel. 100.0
2θ 45.6, rel. 18.4
2θ 56.5, rel. 9.4
2θ 56.7, rel. 29.0
2θ 66.3, rel. 5.8
2θ 66.6, rel. 6.0



(8)
The following is a calculated PXRD pattern of Sm6Er8Mg. It was derived from a structure optimized by DFT (GGA-PBE), using a wavelength of 1.5418 Å.
Lines closer than 0.1° are merged.

Structural model:
```
Sm6Er8Mg
1.0
9.3130 0.0000 0.0000
-4.6565 8.0653 0.0000
0.0000 0.0000 6.6290
Sm Er Mg
6 8 1
Direct
0.0810 0.4027 0.3961
0.3217 0.9190 0.3961
0.4027 0.3217 0.6039
0.5973 0.6783 0.3961
0.6783 0.0810 0.6039
0.9190 0.5973 0.6039
0.0169 0.6888 0.1080
0.3112 0.3281 0.1080
0.3281 0.0169 0.8920
0.3333 0.6667 0.8334
0.6667 0.3333 0.1666
0.6719 0.9831 0.1080
0.6888 0.6719 0.8920
0.9831 0.3112 0.8920
0.0000 0.0000 0.5000
```

Principal peaks in the range 2θ from 5° to 70°, in order of rising 2θ:
2θ 11.0, rel. 12.8
2θ 19.1, rel. 19.4
2θ 25.9, rel. 27.6
2θ 29.1, rel. 12.8
2θ 32.3, rel. 51.3
2θ 33.2, rel. 100.0
2θ 33.3, rel. 65.2
2θ 47.7, rel. 15.5
2θ 51.3, rel. 19.1
2θ 59.5, rel. 16.4



Please write out number 8 again, unchanged.
The following is a calculated PXRD pattern of Sm6Er8Mg. It was derived from a structure optimized by DFT (GGA-PBE), using a wavelength of 1.5418 Å.
Lines closer than 0.1° are merged.

Structural model:
```
Sm6Er8Mg
1.0
9.3130 0.0000 0.0000
-4.6565 8.0653 0.0000
0.0000 0.0000 6.6290
Sm Er Mg
6 8 1
Direct
0.0810 0.4027 0.3961
0.3217 0.9190 0.3961
0.4027 0.3217 0.6039
0.5973 0.6783 0.3961
0.6783 0.0810 0.6039
0.9190 0.5973 0.6039
0.0169 0.6888 0.1080
0.3112 0.3281 0.1080
0.3281 0.0169 0.8920
0.3333 0.6667 0.8334
0.6667 0.3333 0.1666
0.6719 0.9831 0.1080
0.6888 0.6719 0.8920
0.9831 0.3112 0.8920
0.0000 0.0000 0.5000
```

Principal peaks in the range 2θ from 5° to 70°, in order of rising 2θ:
2θ 11.0, rel. 12.8
2θ 19.1, rel. 19.4
2θ 25.9, rel. 27.6
2θ 29.1, rel. 12.8
2θ 32.3, rel. 51.3
2θ 33.2, rel. 100.0
2θ 33.3, rel. 65.2
2θ 47.7, rel. 15.5
2θ 51.3, rel. 19.1
2θ 59.5, rel. 16.4



Number 3 is which compound?
ErMg15Sc4



What is the formula in the seventh record?
Sm4Er2Mg